1.
The following is a computed PXRD pattern of CeO2. It was derived from a cell relaxed with GGA-PBE, using λ = 1.5418 Å (Cu Kα).
No peak broadening, texture or thermal motion is included.

Cell and atoms:
```
CeO2
1.0
5.467 0.000 0.000
0.000 5.467 0.000
0.000 0.000 5.467
Ce O
4 8
Cartesian
0.000 0.000 0.000
0.000 2.734 2.734
2.734 0.000 2.734
2.734 2.734 0.000
1.367 1.367 1.367
1.367 1.367 4.101
1.367 4.101 1.367
1.367 4.101 4.101
4.101 1.367 1.367
4.101 1.367 4.101
4.101 4.101 1.367
4.101 4.101 4.101
```

Peak list (9 most intense, 15 to 90 degrees two-theta, most intense first)
- d 3.157, intensity 100
- d 1.933, intensity 55
- d 1.648, intensity 45
- d 2.734, intensity 29
- d 1.254, intensity 18
- d 1.116, intensity 17
- d 1.223, intensity 11
- d 1.578, intensity 8
- d 1.367, intensity 8

***

2.
The following is a computed PXRD pattern of PrGePd. It was derived from a cell relaxed with GGA-PBE, using λ = 1.5418 Å (Cu Kα).
No peak broadening, texture or thermal motion is included.

Cell and atoms:
```
PrGePd
1.0
22.194 0.000 0.000
0.000 4.545 0.000
0.000 0.000 7.711
Pr Ge Pd
12 12 12
Cartesian
0.032 1.136 1.673
3.691 1.136 2.243
3.702 3.409 5.471
7.395 1.136 1.616
7.406 3.409 6.098
11.066 3.409 5.528
11.129 1.136 2.183
14.788 1.136 1.612
14.799 3.409 6.095
18.492 1.136 2.239
18.503 3.409 5.468
22.163 3.409 6.038
1.573 1.136 4.536
2.281 3.409 0.648
5.111 3.409 0.634
5.986 1.136 4.490
8.816 1.136 4.503
9.524 3.409 0.680
12.670 1.136 7.030
13.378 3.409 3.208
16.209 3.409 3.221
17.083 1.136 7.076
19.913 1.136 7.063
20.621 3.409 3.175
1.449 3.409 3.221
2.078 1.136 7.094
5.273 1.136 7.065
5.824 3.409 3.210
9.019 3.409 3.239
9.648 1.136 7.077
12.547 3.409 0.634
13.175 1.136 4.472
16.371 1.136 4.501
16.921 3.409 0.646
20.116 3.409 0.616
20.745 1.136 4.489
```

Peak list (10 most intense, 15 to 90 degrees two-theta, most intense first)
- d 2.689, intensity 100
- d 2.237, intensity 54
- d 2.669, intensity 44
- d 2.272, intensity 36
- d 2.732, intensity 27
- d 1.730, intensity 24
- d 1.440, intensity 17
- d 2.349, intensity 17
- d 1.379, intensity 12
- d 1.633, intensity 11

***

3.
The following is a computed PXRD pattern of Ca3Mg. It was derived from a cell relaxed with GGA-PBE, using λ = 1.5418 Å (Cu Kα).
No peak broadening, texture or thermal motion is included.

Cell and atoms:
```
Ca3Mg
1.0
5.259 0.000 0.000
0.000 5.259 0.000
0.000 0.000 10.565
Ca Mg
6 2
Cartesian
0.000 0.000 0.000
0.000 2.630 2.641
0.000 2.630 7.923
2.630 0.000 2.641
2.630 0.000 7.923
2.630 2.630 5.282
0.000 0.000 5.282
2.630 2.630 0.000
```

Peak list (10 most intense, 15 to 90 degrees two-theta, most intense first)
- d 3.041, intensity 100
- d 2.630, intensity 33
- d 1.586, intensity 25
- d 1.864, intensity 22
- d 2.641, intensity 17
- d 1.591, intensity 12
- d 1.859, intensity 11
- d 1.520, intensity 11
- d 1.209, intensity 9
- d 1.177, intensity 8

***

4.
The following is a computed PXRD pattern of Zr2CuH2. It was derived from a cell relaxed with GGA-PBE, using λ = 1.5418 Å (Cu Kα).
No peak broadening, texture or thermal motion is included.

Cell and atoms:
```
Zr2CuH2
1.0
3.258 0.000 0.000
0.000 3.258 0.000
0.000 0.000 11.791
Zr Cu H
4 2 4
Cartesian
0.000 0.000 1.634
0.000 0.000 10.157
1.629 1.629 4.261
1.629 1.629 7.530
0.000 0.000 5.895
1.629 1.629 0.000
0.000 1.629 2.948
0.000 1.629 8.843
1.629 0.000 2.948
1.629 0.000 8.843
```

Peak list (10 most intense, 15 to 90 degrees two-theta, most intense first)
- d 2.508, intensity 100
- d 2.304, intensity 47
- d 1.366, intensity 27
- d 1.629, intensity 16
- d 1.910, intensity 15
- d 1.496, intensity 14
- d 3.140, intensity 9
- d 1.242, intensity 8
- d 1.815, intensity 8
- d 2.948, intensity 8

***

5.
The following is a computed PXRD pattern of Nb3O5F5. It was derived from a cell relaxed with GGA-PBE, using λ = 1.5418 Å (Cu Kα).
No peak broadening, texture or thermal motion is included.

Cell and atoms:
```
Nb3O5F5
1.0
-1.984 2.027 12.181
1.984 -2.027 12.181
1.984 2.027 -12.181
Nb O F
3 5 5
Cartesian
0.000 0.000 0.000
0.000 0.000 3.898
0.000 0.000 20.463
0.000 0.000 1.952
1.984 0.000 3.884
0.000 2.027 0.000
0.000 2.027 8.297
0.000 0.000 22.409
1.984 0.000 0.000
0.000 0.000 5.817
1.984 0.000 8.295
0.000 2.027 3.885
0.000 0.000 18.544
```

Peak list (10 most intense, 15 to 90 degrees two-theta, most intense first)
- d 3.999, intensity 100
- d 4.060, intensity 99
- d 3.916, intensity 95
- d 2.028, intensity 53
- d 2.836, intensity 47
- d 1.418, intensity 29
- d 1.984, intensity 27
- d 1.694, intensity 22
- d 2.616, intensity 21
- d 2.641, intensity 21

***

6.
The following is a computed PXRD pattern of NpSi2Ru2. It was derived from a cell relaxed with GGA-PBE, using λ = 1.5418 Å (Cu Kα).
No peak broadening, texture or thermal motion is included.

Cell and atoms:
```
NpSi2Ru2
1.0
4.163 0.000 0.000
0.000 4.163 0.000
0.000 0.000 9.621
Np Si Ru
2 4 4
Cartesian
0.000 0.000 0.000
2.081 2.081 4.810
0.000 0.000 3.580
0.000 0.000 6.041
2.081 2.081 1.231
2.081 2.081 8.390
0.000 2.081 2.405
0.000 2.081 7.216
2.081 0.000 2.405
2.081 0.000 7.216
```

Peak list (10 most intense, 15 to 90 degrees two-theta, most intense first)
- d 2.511, intensity 100
- d 3.820, intensity 55
- d 2.540, intensity 41
- d 2.081, intensity 37
- d 1.270, intensity 24
- d 1.610, intensity 21
- d 1.574, intensity 19
- d 1.408, intensity 17
- d 2.405, intensity 17
- d 1.828, intensity 16

***

7.
The following is a computed PXRD pattern of MgTaZn. It was derived from a cell relaxed with GGA-PBE, using λ = 1.5418 Å (Cu Kα).
No peak broadening, texture or thermal motion is included.

Cell and atoms:
```
MgTaZn
1.0
6.152 0.000 0.000
0.000 6.152 0.000
0.000 0.000 6.152
Mg Ta Zn
4 4 4
Cartesian
0.000 0.000 0.000
0.000 3.076 3.076
3.076 0.000 3.076
3.076 3.076 0.000
0.000 0.000 3.076
0.000 3.076 0.000
3.076 0.000 0.000
3.076 3.076 3.076
1.538 1.538 1.538
1.538 4.614 4.614
4.614 1.538 4.614
4.614 4.614 1.538
```

Peak list (10 most intense, 15 to 90 degrees two-theta, most intense first)
- d 2.175, intensity 100
- d 3.552, intensity 94
- d 1.855, intensity 46
- d 1.256, intensity 33
- d 3.076, intensity 30
- d 1.411, intensity 19
- d 1.538, intensity 17
- d 1.184, intensity 15
- d 1.376, intensity 11
- d 1.776, intensity 8

***

8.
The following is a computed PXRD pattern of KInP2Se6. It was derived from a cell relaxed with GGA-PBE, using λ = 1.5418 Å (Cu Kα).
No peak broadening, texture or thermal motion is included.

Cell and atoms:
```
KInP2Se6
1.0
7.748 0.000 0.000
0.000 6.619 0.000
-4.403 0.000 22.978
K In P Se
4 4 8 24
Cartesian
0.382 0.084 5.023
-1.819 3.225 16.512
5.164 3.394 6.466
2.963 6.535 17.954
-1.034 4.956 21.918
1.168 4.973 10.429
2.177 1.646 12.548
4.378 1.663 1.060
-0.566 1.642 9.383
-2.768 1.668 20.871
-0.686 1.614 19.934
1.516 1.695 8.445
1.829 4.924 14.532
4.030 5.004 3.043
6.113 4.951 2.106
3.911 4.977 13.595
-0.288 3.854 3.375
-2.490 6.074 14.864
-1.176 3.761 9.652
-3.377 6.167 21.141
-0.256 0.585 11.372
-2.458 2.725 22.860
-0.702 0.482 18.092
1.500 2.828 6.603
0.510 3.869 13.026
2.711 6.059 1.538
-0.153 3.749 19.604
2.049 6.180 8.115
1.296 0.439 14.862
3.498 2.870 3.374
0.634 0.560 21.440
2.835 2.750 9.951
1.845 3.791 16.374
4.047 6.137 4.886
5.803 3.894 0.117
3.601 6.034 11.606
6.722 0.452 1.837
4.520 2.858 13.325
5.835 0.545 8.114
3.633 2.765 19.603
```

Peak list (10 most intense, 15 to 90 degrees two-theta, most intense first)
- d 2.941, intensity 100
- d 2.865, intensity 93
- d 3.039, intensity 71
- d 3.489, intensity 70
- d 1.955, intensity 52
- d 2.401, intensity 47
- d 1.911, intensity 41
- d 2.897, intensity 34
- d 2.634, intensity 31
- d 1.815, intensity 27